Sm2MgCu2: computed X-ray diffraction stick pattern (Cu Kα X-rays), based on a structure optimized by DFT (GGA-PBE).
Intensities are scaled so that the largest is 100.

Cell and atoms:
a b c (Å): 7.8099 7.8099 3.7191
angles (deg): 90.00 90.00 90.00
Positions (direct):
Sm: 0.1785 0.3215 0.0000
Sm: 0.3215 0.8215 0.0000
Sm: 0.6785 0.1785 0.0000
Sm: 0.8215 0.6785 0.0000
Mg: 0.0000 0.0000 0.5000
Mg: 0.5000 0.5000 0.5000
Cu: 0.1171 0.6171 0.5000
Cu: 0.3829 0.1171 0.5000
Cu: 0.6171 0.8829 0.5000
Cu: 0.8829 0.3829 0.5000

Peak list (12 most intense, 10° ≤ 2θ ≤ 90°, sorted by position)
| 2theta | intensity |
| --- | --- |
| 16.05 | 21 |
| 22.77 | 18 |
| 25.50 | 17 |
| 33.27 | 32 |
| 35.25 | 100 |
| 36.38 | 23 |
| 48.03 | 18 |
| 48.98 | 11 |
| 49.52 | 10 |
| 54.35 | 19 |
| 55.72 | 10 |
| 71.04 | 11 |

---

SmMg2Cu9: computed X-ray diffraction stick pattern (Cu Kα X-rays), based on a structure optimized by DFT (GGA-PBE).
Intensities are scaled so that the largest is 100.

Cell and atoms:
a b c (Å): 5.0313 5.0313 16.1774
angles (deg): 90.00 90.00 120.00
Positions (direct):
Sm: 0.3333 0.6667 0.2500
Sm: 0.6667 0.3333 0.7500
Mg: 0.3333 0.6667 0.0321
Mg: 0.3333 0.6667 0.4679
Mg: 0.6667 0.3333 0.5321
Mg: 0.6667 0.3333 0.9679
Cu: 0.0000 0.0000 0.0000
Cu: 0.0000 0.0000 0.2500
Cu: 0.0000 0.0000 0.5000
Cu: 0.0000 0.0000 0.7500
Cu: 0.1681 0.3362 0.6226
Cu: 0.1681 0.3362 0.8774
Cu: 0.1681 0.8319 0.6226
Cu: 0.1681 0.8319 0.8774
Cu: 0.3333 0.6667 0.7500
Cu: 0.3362 0.1681 0.1226
Cu: 0.3362 0.1681 0.3774
Cu: 0.6637 0.8319 0.6226
Cu: 0.6637 0.8319 0.8774
Cu: 0.6667 0.3333 0.2500
Cu: 0.8319 0.1681 0.1226
Cu: 0.8319 0.1681 0.3774
Cu: 0.8319 0.6637 0.1226
Cu: 0.8319 0.6637 0.3774

Peak list (12 most intense, 10° ≤ 2θ ≤ 90°, sorted by position)
| 2theta | intensity |
| --- | --- |
| 10.94 | 38 |
| 23.19 | 13 |
| 26.30 | 23 |
| 34.53 | 22 |
| 35.69 | 21 |
| 37.44 | 16 |
| 41.84 | 40 |
| 42.31 | 100 |
| 44.84 | 44 |
| 58.20 | 12 |
| 68.66 | 22 |
| 75.60 | 19 |

---

MgCuSn: computed X-ray diffraction stick pattern (Cu Kα X-rays), based on a structure optimized by DFT (GGA-PBE).
Intensities are scaled so that the largest is 100.

Cell and atoms:
a b c (Å): 4.4101 4.4101 4.4101
angles (deg): 60.00 60.00 60.00
Positions (direct):
Mg: 0.0000 0.0000 0.0000
Cu: 0.7500 0.7500 0.7500
Sn: 0.5000 0.5000 0.5000

Peak list (11 most intense, 10° ≤ 2θ ≤ 90°, sorted by position)
| 2theta | intensity |
| --- | --- |
| 24.72 | 74 |
| 28.63 | 17 |
| 40.93 | 100 |
| 48.40 | 37 |
| 50.71 | 5 |
| 59.26 | 17 |
| 65.20 | 15 |
| 67.12 | 7 |
| 74.54 | 34 |
| 79.93 | 12 |
| 88.73 | 11 |

---

MgCuSn: computed X-ray diffraction stick pattern (Cu Kα X-rays), based on a structure optimized by DFT (GGA-PBE).
Intensities are scaled so that the largest is 100.

Cell and atoms:
a b c (Å): 4.5257 4.5257 4.5257
angles (deg): 60.00 60.00 60.00
Positions (direct):
Mg: 0.0000 0.0000 0.0000
Cu: 0.5000 0.5000 0.5000
Sn: 0.2500 0.2500 0.2500

Peak list (11 most intense, 10° ≤ 2θ ≤ 90°, sorted by position)
| 2theta | intensity |
| --- | --- |
| 24.08 | 87 |
| 27.88 | 2 |
| 39.84 | 100 |
| 47.09 | 45 |
| 49.32 | 1 |
| 57.61 | 17 |
| 63.34 | 19 |
| 65.19 | 1 |
| 72.33 | 34 |
| 77.49 | 14 |
| 85.90 | 11 |